Structure and calculated powder X-ray diffraction pattern of LiTm2Ga9 (a DFT-relaxed cell (PBE, Alexandria); Cu Kα).
Lines closer than 0.1° are merged.

Crystal structure
abc: 4.203 4.203 12.448
angles: 90.00 90.00 90.00
Element x y z (fractional)
Li 0.000 0.000 0.000
Tm 0.000 0.000 0.325
Tm 0.000 0.000 0.675
Ga 0.000 0.500 0.151
Ga 0.000 0.500 0.500
Ga 0.000 0.500 0.849
Ga 0.500 0.000 0.151
Ga 0.500 0.000 0.500
Ga 0.500 0.000 0.849
Ga 0.500 0.500 0.000
Ga 0.500 0.500 0.335
Ga 0.500 0.500 0.665

Most intense lines, 2θ from 10° to 80°, most intense first:
37.2°, intensity 100
43.0°, intensity 34
75.0°, intensity 25
63.0°, intensity 19
43.6°, intensity 15
62.5°, intensity 11
25.6°, intensity 10
79.3°, intensity 10
75.9°, intensity 9
22.3°, intensity 8



Structure and calculated powder X-ray diffraction pattern of TbY2Sc4 (a DFT-relaxed cell (PBE, Alexandria); Cu Kα).
Lines closer than 0.1° are merged.

Crystal structure
abc: 6.525 8.442 8.517
angles: 115.78 102.87 101.77
Element x y z (fractional)
Tb 0.000 0.000 0.000
Tb 0.250 0.841 0.632
Y 0.247 0.263 0.843
Y 0.501 0.718 0.151
Y 0.743 0.492 0.378
Y 0.781 0.336 0.938
Sc 0.035 0.792 0.233
Sc 0.056 0.588 0.800
Sc 0.228 0.454 0.296
Sc 0.469 0.167 0.470
Sc 0.525 0.044 0.070
Sc 0.547 0.610 0.745
Sc 0.738 0.921 0.588
Sc 0.959 0.192 0.432

Most intense lines, 2θ from 10° to 80°, most intense first:
33.1°, intensity 100
33.0°, intensity 37
32.3°, intensity 28
12.3°, intensity 25
35.0°, intensity 22
33.4°, intensity 21
32.6°, intensity 20
22.5°, intensity 20
30.5°, intensity 11
36.4°, intensity 10



Structure and calculated powder X-ray diffraction pattern of Ba6Ca7 (a DFT-relaxed cell (PBE, Alexandria); Cu Kα).
Lines closer than 0.1° are merged.

Crystal structure
abc: 14.580 14.580 14.580
angles: 30.19 30.19 30.19
Element x y z (fractional)
Ba 0.049 0.049 0.049
Ba 0.151 0.151 0.151
Ba 0.333 0.333 0.333
Ba 0.667 0.667 0.667
Ba 0.849 0.849 0.849
Ba 0.951 0.951 0.951
Ca 0.091 0.592 0.592
Ca 0.408 0.408 0.909
Ca 0.408 0.909 0.408
Ca 0.500 0.500 0.500
Ca 0.592 0.091 0.592
Ca 0.592 0.592 0.091
Ca 0.909 0.408 0.408

Most intense lines, 2θ from 10° to 80°, most intense first:
23.4°, intensity 100
27.2°, intensity 79
26.7°, intensity 74
25.3°, intensity 70
42.3°, intensity 35
43.5°, intensity 32
47.9°, intensity 30
41.2°, intensity 23
43.3°, intensity 20
55.9°, intensity 19